# NaNdU
Computed XRD peak list, λ = 1.5418 Å (Cu Kα). Input: a DFT-relaxed cell (GGA-PBE, OQMD).

Crystal structure
```
data_NaNdU
_chemical_formula_sum 'Na4 Nd4 U4'
_space_group_name_H-M_alt 'F -4 3 m'
_space_group_IT_number 216
_space_group_name_Hall 'F -4 2 3'
_cell_length_a 7.2696
_cell_length_b 7.2696
_cell_length_c 7.2696
_cell_angle_alpha 90.00
_cell_angle_beta 90.00
_cell_angle_gamma 90.00
loop_
_atom_site_label
_atom_site_type_symbol
_atom_site_fract_x
_atom_site_fract_y
_atom_site_fract_z
Na1 Na 0.0000 0.0000 0.0000
Nd1 Nd 0.2500 0.2500 0.7500
U1 U 0.0000 0.0000 0.5000
```

Largest 10 diffraction maxima, by angle, 10 to 90 degrees two-theta:
2θ (°), Rel. int.
21.17, 91
34.91, 100
41.18, 50
50.20, 18
55.06, 22
62.60, 38
66.88, 17
73.72, 12
77.71, 17
84.24, 17

---

# Na5Ni3P3
Computed XRD peak list, λ = 1.5418 Å (Cu Kα). Input: a DFT-relaxed cell (GGA-PBE, OQMD).

Crystal structure
```
data_Na5Ni3P3
_chemical_formula_sum 'Na5 Ni3 P3'
_space_group_name_H-M_alt 'P -6 2 m'
_space_group_IT_number 189
_space_group_name_Hall 'P -6 -2'
_cell_length_a 8.6435
_cell_length_b 8.6435
_cell_length_c 4.1078
_cell_angle_alpha 90.00
_cell_angle_beta 90.00
_cell_angle_gamma 120.00
loop_
_atom_site_label
_atom_site_type_symbol
_atom_site_fract_x
_atom_site_fract_y
_atom_site_fract_z
Na1 Na 0.0000 0.7371 0.0000
Na2 Na 0.3333 0.6667 0.0000
Ni1 Ni 0.0000 0.3637 0.5000
P1 P 0.0000 0.3658 0.0000
```

Largest 10 diffraction maxima, by angle, 10 to 90 degrees two-theta:
2θ (°), Rel. int.
11.82, 9
20.55, 100
30.01, 36
31.62, 21
35.99, 53
41.80, 14
43.60, 9
44.09, 14
49.12, 18
58.18, 28

---

# NaNiPS4
Computed XRD peak list, λ = 1.5418 Å (Cu Kα). Input: a DFT-relaxed cell (GGA-PBE, OQMD).

Crystal structure
```
data_NaNiPS4
_chemical_formula_sum 'Na4 Ni4 P4 S16'
_space_group_name_H-M_alt 'I 4/m c m'
_space_group_IT_number 140
_space_group_name_Hall '-I 4 2c'
_cell_length_a 7.3010
_cell_length_b 7.3010
_cell_length_c 11.8954
_cell_angle_alpha 90.00
_cell_angle_beta 90.00
_cell_angle_gamma 90.00
loop_
_atom_site_label
_atom_site_type_symbol
_atom_site_fract_x
_atom_site_fract_y
_atom_site_fract_z
Na1 Na 0.0000 0.0000 0.2500
Ni1 Ni 0.0000 0.5000 0.0000
P1 P 0.0000 0.5000 0.2500
S1 S 0.1481 0.3519 0.1342
```

Largest 10 diffraction maxima, by angle, 10 to 90 degrees two-theta:
2θ (°), Rel. int.
17.18, 100
22.81, 17
24.38, 19
28.34, 36
34.76, 20
35.62, 27
39.07, 38
41.98, 12
50.01, 29
59.42, 21